This entry pairs a crystal structure of La4MgCu4O10 with its theoretical X-ray diffraction stick pattern. Radiation: Cu Kα (λ = 1.5418 Å). Structure: a DFT-relaxed cell (PBE, the Materials Project).

Main lines, by angle (2θ from 10° to 90°):
Position (°2θ)  d [Å]  I_rel
23.02  3.863  99
23.32  3.814  34
29.82  2.996  73
31.59  2.832  75
33.00  2.715  73
33.24  2.696  100
35.05  2.560  41
37.63  2.391  58
42.68  2.119  31
47.68  1.907  58

Structural model:
a b c (Å): 5.8281 3.8155 13.0273
angles (deg): 90.00 102.11 90.00
Fractional positions:
La 0.0389 0.0000 0.2319
La 0.3933 0.0000 0.6126
La 0.6067 0.0000 0.3874
La 0.9611 0.0000 0.7681
Mg 0.5000 0.0000 0.0000
Cu 0.1234 0.5000 0.4262
Cu 0.3613 0.5000 0.1301
Cu 0.6387 0.5000 0.8699
Cu 0.8766 0.5000 0.5738
O 0.1756 0.0000 0.4251
O 0.1963 0.5000 0.6972
O 0.2867 0.5000 0.2747
O 0.3101 0.0000 0.1146
O 0.5000 0.5000 0.0000
O 0.5000 0.5000 0.5000
O 0.6899 0.0000 0.8854
O 0.7133 0.5000 0.7253
O 0.8037 0.5000 0.3028
O 0.8244 0.0000 0.5749



This entry pairs a crystal structure of GaW2N3 with its theoretical X-ray diffraction stick pattern. Radiation: Cu Kα (λ = 1.5418 Å). Structure: a DFT-relaxed cell (PBE, the Materials Project).

Main lines, by angle (2θ from 10° to 90°):
Position (°2θ)  d [Å]  I_rel
12.55  7.055  100
26.61  3.350  24
28.06  3.180  20
31.63  2.829  37
33.65  2.664  36
34.08  2.630  59
34.47  2.602  23
37.01  2.429  20
42.11  2.146  36
49.74  1.833  18

Structural model:
a b c (Å): 7.5468 7.5468 8.6380
angles (deg): 92.28 92.28 138.39
Fractional positions:
Ga 0.1907 0.2125 0.3630
Ga 0.2125 0.1907 0.8630
Ga 0.7875 0.8093 0.1370
Ga 0.8093 0.7875 0.6370
W 0.0070 0.5434 0.8402
W 0.1803 0.4747 0.6021
W 0.4566 0.9930 0.6598
W 0.4747 0.1803 0.1021
W 0.5253 0.8197 0.8979
W 0.5434 0.0070 0.3402
W 0.8197 0.5253 0.3979
W 0.9930 0.4566 0.1598
N 0.0460 0.6487 0.6171
N 0.1713 0.8287 0.2500
N 0.2144 0.5281 0.0115
N 0.3513 0.9540 0.8829
N 0.4498 0.5502 0.7500
N 0.4719 0.7856 0.4885
N 0.5281 0.2144 0.5115
N 0.5502 0.4498 0.2500
N 0.6487 0.0460 0.1171
N 0.7856 0.4719 0.9885
N 0.8287 0.1713 0.7500
N 0.9540 0.3513 0.3829



This entry pairs a crystal structure of TmPa3 with its theoretical X-ray diffraction stick pattern. Radiation: Cu Kα (λ = 1.5418 Å). Structure: a DFT-relaxed cell (PBE, the Materials Project).

Main lines, by angle (2θ from 10° to 90°):
Position (°2θ)  d [Å]  I_rel
18.85  4.707  1
26.79  3.328  1
32.96  2.717  100
38.25  2.353  51
42.97  2.105  1
47.31  1.921  1
55.20  1.664  36
65.81  1.419  43
69.14  1.359  12
81.87  1.177  6

Structural model:
a b c (Å): 4.7066 4.7066 4.7066
angles (deg): 90.00 90.00 90.00
Fractional positions:
Tm 0.0000 0.0000 0.0000
Pa 0.0000 0.5000 0.5000
Pa 0.5000 0.0000 0.5000
Pa 0.5000 0.5000 0.0000



What did the second record say?
This entry pairs a crystal structure of GaW2N3 with its theoretical X-ray diffraction stick pattern. Radiation: Cu Kα (λ = 1.5418 Å). Structure: a DFT-relaxed cell (PBE, the Materials Project).

Main lines, by angle (2θ from 10° to 90°):
Position (°2θ)  d [Å]  I_rel
12.55  7.055  100
26.61  3.350  24
28.06  3.180  20
31.63  2.829  37
33.65  2.664  36
34.08  2.630  59
34.47  2.602  23
37.01  2.429  20
42.11  2.146  36
49.74  1.833  18

Structural model:
a b c (Å): 7.5468 7.5468 8.6380
angles (deg): 92.28 92.28 138.39
Fractional positions:
Ga 0.1907 0.2125 0.3630
Ga 0.2125 0.1907 0.8630
Ga 0.7875 0.8093 0.1370
Ga 0.8093 0.7875 0.6370
W 0.0070 0.5434 0.8402
W 0.1803 0.4747 0.6021
W 0.4566 0.9930 0.6598
W 0.4747 0.1803 0.1021
W 0.5253 0.8197 0.8979
W 0.5434 0.0070 0.3402
W 0.8197 0.5253 0.3979
W 0.9930 0.4566 0.1598
N 0.0460 0.6487 0.6171
N 0.1713 0.8287 0.2500
N 0.2144 0.5281 0.0115
N 0.3513 0.9540 0.8829
N 0.4498 0.5502 0.7500
N 0.4719 0.7856 0.4885
N 0.5281 0.2144 0.5115
N 0.5502 0.4498 0.2500
N 0.6487 0.0460 0.1171
N 0.7856 0.4719 0.9885
N 0.8287 0.1713 0.7500
N 0.9540 0.3513 0.3829



Copy entry 1 word for word.
This entry pairs a crystal structure of La4MgCu4O10 with its theoretical X-ray diffraction stick pattern. Radiation: Cu Kα (λ = 1.5418 Å). Structure: a DFT-relaxed cell (PBE, the Materials Project).

Main lines, by angle (2θ from 10° to 90°):
Position (°2θ)  d [Å]  I_rel
23.02  3.863  99
23.32  3.814  34
29.82  2.996  73
31.59  2.832  75
33.00  2.715  73
33.24  2.696  100
35.05  2.560  41
37.63  2.391  58
42.68  2.119  31
47.68  1.907  58

Structural model:
a b c (Å): 5.8281 3.8155 13.0273
angles (deg): 90.00 102.11 90.00
Fractional positions:
La 0.0389 0.0000 0.2319
La 0.3933 0.0000 0.6126
La 0.6067 0.0000 0.3874
La 0.9611 0.0000 0.7681
Mg 0.5000 0.0000 0.0000
Cu 0.1234 0.5000 0.4262
Cu 0.3613 0.5000 0.1301
Cu 0.6387 0.5000 0.8699
Cu 0.8766 0.5000 0.5738
O 0.1756 0.0000 0.4251
O 0.1963 0.5000 0.6972
O 0.2867 0.5000 0.2747
O 0.3101 0.0000 0.1146
O 0.5000 0.5000 0.0000
O 0.5000 0.5000 0.5000
O 0.6899 0.0000 0.8854
O 0.7133 0.5000 0.7253
O 0.8037 0.5000 0.3028
O 0.8244 0.0000 0.5749